(1)
SmYHg: simulated powder diffractogram (CuKα), based on a PBE-relaxed structure.
Neutral-atom scattering factors, no anomalous dispersion.

Cell lengths 8.8897, 8.8897, 3.7961 Å; angles 90.00, 90.00, 120.00 degrees
Space group P-62m (No. 189)
Symmetry-distinct sites (fractional):
1 Sm 0.0000 0.6087 0.0000 [3 per cell]
2 Y 0.0000 0.2751 0.5000 [3 per cell]
3 Hg 0.0000 0.0000 0.0000 [1 per cell]
4 Hg 0.3333 0.6667 0.5000 [2 per cell]

Top 6 peaks for 2θ = 10–90°, most intense first:
2θ/deg, Rel. int., hkl
35.0, 100, 3 0 0
33.1, 98, 2 0 1
31.0, 92, 1 1 1
39.0, 52, 2 1 1
57.6, 50, 3 2 1
60.7, 41, 3 0 2

(2)
Sm3Zn3Hg: simulated powder diffractogram (CuKα), based on a PBE-relaxed structure.
Neutral-atom scattering factors, no anomalous dispersion.

Cell lengths 3.637, 4.607, 20.136 Å; angles 90.00, 90.00, 90.00 degrees
Space group Imm2 (No. 44)
Symmetry-distinct sites (fractional):
1 Sm 0.000 0.000 0.000 [2 per cell]
2 Sm 0.000 0.000 0.389 [2 per cell]
3 Sm 0.000 0.500 0.187 [2 per cell]
4 Zn 0.000 0.000 0.554 [2 per cell]
5 Zn 0.000 0.000 0.837 [2 per cell]
6 Zn 0.000 0.500 0.623 [2 per cell]
7 Hg 0.000 0.500 0.758 [2 per cell]

Top 6 peaks for 2θ = 10–90°, most intense first:
2θ/deg, Rel. int., hkl
32.6, 100, 1 1 2
36.8, 56, 0 1 7
33.2, 52, 1 0 5
39.1, 32, 0 2 0
52.2, 29, 1 2 5
63.8, 22, 2 1 7

(3)
Sm2ZnHg3: simulated powder diffractogram (CuKα), based on a PBE-relaxed structure.
Neutral-atom scattering factors, no anomalous dispersion.

Cell lengths 7.099, 9.708, 16.909 Å; angles 90.00, 90.00, 90.00 degrees
Space group Fmmm (No. 69)
Symmetry-distinct sites (fractional):
1 Sm 0.246 0.000 0.000 [8 per cell]
2 Sm 0.250 0.250 0.250 [8 per cell]
3 Zn 0.000 0.000 0.333 [8 per cell]
4 Hg 0.000 0.000 0.172 [8 per cell]
5 Hg 0.000 0.241 0.414 [16 per cell]

Top 6 peaks for 2θ = 10–90°, most intense first:
2θ/deg, Rel. int., hkl
33.0, 100, 2 2 2
36.9, 57, 0 2 6
37.0, 28, 0 4 0
65.0, 22, 4 2 6
50.4, 21, 2 4 4
51.5, 12, 4 0 0